1.
Simulated powder diffractogram
Compound: YZr5O12
Radiation: Cu Kα
Structure: a cell relaxed with PBE

Top 6 peaks for 2θ from 15° to 90°, by angle:
| h k l | 2θ (°) | I_rel |
| --- | --- | --- |
| 3 1 0 | 28.57 | 100 |
| 1 1 -2 | 30.08 | 86 |
| 4 0 -2 | 33.57 | 17 |
| 6 0 0 | 46.90 | 18 |
| 4 2 -2 | 48.47 | 32 |
| 2 2 2 | 49.17 | 33 |

Structure:
Lattice parameters (Å, degrees): 12.260 5.284 7.187 90.00 108.56 90.00
Space group C2 (No. 5)
Symmetry-distinct sites (fractional):
Y: 0.000 0.000 0.000
Zr: 0.000 0.960 0.500
Zr: 0.156 0.483 0.831
Zr: 0.179 0.533 0.336
O: 0.018 0.709 0.250
O: 0.026 0.214 0.728
O: 0.140 0.298 0.097
O: 0.158 0.774 0.613
O: 0.185 0.287 0.569
O: 0.189 0.774 0.061



2.
Simulated powder diffractogram
Compound: Yb3O4
Radiation: Cu Kα
Structure: a cell relaxed with PBE

Top 6 peaks for 2θ from 15° to 90°, by angle:
| h k l | 2θ (°) | I_rel |
| --- | --- | --- |
| 0 0 4 | 30.39 | 49 |
| 3 0 2 | 31.28 | 100 |
| 1 1 2 | 32.19 | 61 |
| 2 1 0 | 32.47 | 36 |
| 2 1 4 | 45.07 | 30 |
| 0 2 0 | 55.13 | 28 |

Structure:
Lattice parameters (Å, degrees): 9.817 3.333 11.764 90.00 90.00 90.00
Space group Pnma (No. 62)
Symmetry-distinct sites (fractional):
Yb: 0.075 0.250 0.111
Yb: 0.083 0.250 0.612
Yb: 0.244 0.250 0.852
O: 0.011 0.250 0.793
O: 0.082 0.250 0.414
O: 0.142 0.750 0.978
O: 0.223 0.750 0.697



3.
Simulated powder diffractogram
Compound: YbO3
Radiation: Cu Kα
Structure: a cell relaxed with PBE

Top 6 peaks for 2θ from 15° to 90°, by angle:
| h k l | 2θ (°) | I_rel |
| --- | --- | --- |
| 0 1 1 | 27.22 | 83 |
| 1 0 1 | 29.14 | 69 |
| 1 0 -2 | 29.93 | 66 |
| 1 1 0 | 33.50 | 70 |
| 1 1 -1 | 33.74 | 58 |
| 0 1 2 | 35.32 | 100 |

Structure:
Lattice parameters (Å, degrees): 3.985 3.712 7.202 90.00 104.53 90.00
Space group P2_1/m (No. 11)
Symmetry-distinct sites (fractional):
Yb: 0.176 0.250 0.335
O: 0.251 0.250 0.859
O: 0.258 0.750 0.518
O: 0.422 0.750 0.148



4.
Simulated powder diffractogram
Compound: Yb2O3
Radiation: Cu Kα
Structure: a cell relaxed with PBE

Top 6 peaks for 2θ from 15° to 90°, by angle:
| h k l | 2θ (°) | I_rel |
| --- | --- | --- |
| 2 1 1 | 20.48 | 10 |
| 2 2 2 | 29.13 | 100 |
| 4 0 0 | 33.76 | 36 |
| 4 3 1 | 43.45 | 9 |
| 4 4 0 | 48.49 | 38 |
| 6 2 2 | 57.57 | 31 |

Structure:
Lattice parameters (Å, degrees): 10.620 10.620 10.620 90.00 90.00 90.00
Space group Ia-3 (No. 206)
Symmetry-distinct sites (fractional):
Yb: 0.000 0.000 0.000
Yb: 0.000 0.250 0.283
O: 0.097 0.140 0.631



5.
Simulated powder diffractogram
Compound: ZnO
Radiation: Cu Kα
Structure: a cell relaxed with PBE

Top 6 peaks for 2θ from 15° to 90°, by angle:
| h k l | 2θ (°) | I_rel |
| --- | --- | --- |
| 1 1 0 | 19.37 | 49 |
| 0 0 2 | 33.83 | 35 |
| 2 1 1 | 35.29 | 100 |
| 3 1 0 | 44.18 | 35 |
| 4 0 0 | 56.80 | 31 |
| 2 1 3 | 61.48 | 41 |

Structure:
Lattice parameters (Å, degrees): 6.482 6.482 5.299 90.00 90.00 90.00
Space group I4cm (No. 108)
Symmetry-distinct sites (fractional):
Zn: 0.151 0.349 0.000
O: 0.150 0.350 0.622



6.
Simulated powder diffractogram
Compound: Zn4O
Radiation: Cu Kα
Structure: a cell relaxed with PBE

Top 6 peaks for 2θ from 15° to 90°, by angle:
| h k l | 2θ (°) | I_rel |
| --- | --- | --- |
| 1 0 0 | 21.06 | 1 |
| 1 1 1 | 36.92 | 100 |
| 2 0 0 | 42.89 | 61 |
| 2 2 0 | 62.26 | 37 |
| 3 1 1 | 74.64 | 35 |
| 2 2 2 | 78.57 | 12 |

Structure:
Lattice parameters (Å, degrees): 4.218 4.218 4.218 90.00 90.00 90.00
Space group Pm-3m (No. 221)
Symmetry-distinct sites (fractional):
Zn: 0.000 0.000 0.000
Zn: 0.000 0.500 0.500
O: 0.500 0.500 0.500